Record 1
For LuO3, a structure optimized by DFT (GGA-PBE) gives the computed X-ray diffraction stick pattern in this record (Cu Kα X-rays).
Kinematic intensities with the Lorentz-polarization factor, no thermal factor.

Principal peaks in the range 10° ≤ 2θ ≤ 90°, low angle first:
2theta, I/Imax
23.88, 100
34.02, 84
41.99, 39
48.88, 17
55.11, 51
60.89, 37
71.62, 10
76.72, 21
81.71, 16
86.64, 13

Atomic structure:
```
data_LuO3
_chemical_formula_sum 'Lu8 O24'
_symmetry_space_group_name_H-M 'I m -3'
_symmetry_Int_Tables_number 204
_symmetry_space_group_name_Hall '-I 2 2 3'
_cell_length_a 7.4533
_cell_length_b 7.4533
_cell_length_c 7.4533
_cell_angle_alpha 90.00
_cell_angle_beta 90.00
_cell_angle_gamma 90.00
loop_
_atom_site_label
_atom_site_type_symbol
_atom_site_fract_x
_atom_site_fract_y
_atom_site_fract_z
Lu1 Lu 0.2500 0.2500 0.2500
O1 O 0.0000 0.3169 0.0992
```

***

Record 2
For Ba3UMnS6, a structure optimized by DFT (GGA-PBE) gives the computed X-ray diffraction stick pattern in this record (Cu Kα X-rays).
Kinematic intensities with the Lorentz-polarization factor, no thermal factor.

Principal peaks in the range 10° ≤ 2θ ≤ 90°, low angle first:
2theta, I/Imax
21.37, 48
24.54, 61
25.40, 100
25.97, 30
31.37, 83
34.76, 42
35.61, 44
39.64, 37
46.16, 53
47.85, 29

Atomic structure:
```
data_Ba3UMnS6
_chemical_formula_sum 'Ba18 U6 Mn6 S36'
_symmetry_space_group_name_H-M 'R -3 c'
_symmetry_Int_Tables_number 167
_symmetry_space_group_name_Hall '-R 3 2"c'
_cell_length_a 12.1459
_cell_length_b 12.1459
_cell_length_c 13.5723
_cell_angle_alpha 90.00
_cell_angle_beta 90.00
_cell_angle_gamma 120.00
loop_
_atom_site_label
_atom_site_type_symbol
_atom_site_fract_x
_atom_site_fract_y
_atom_site_fract_z
Ba1 Ba 0.0000 0.3809 0.2500
U1 U 0.0000 0.0000 0.2500
Mn1 Mn 0.0000 0.0000 0.0000
S1 S 0.0261 0.1785 0.3820
```

***

Record 3
For NaEuZrSbO6, a structure optimized by DFT (GGA-PBE) gives the computed X-ray diffraction stick pattern in this record (Cu Kα X-rays).
Kinematic intensities with the Lorentz-polarization factor, no thermal factor.

Principal peaks in the range 10° ≤ 2θ ≤ 90°, low angle first:
2theta, I/Imax
18.85, 30
31.01, 100
36.54, 17
44.43, 34
48.66, 8
55.17, 39
58.83, 6
64.65, 20
73.43, 17
81.82, 7

Atomic structure:
```
data_NaEuZrSbO6
_chemical_formula_sum 'Na4 Eu4 Zr4 Sb4 O24'
_symmetry_space_group_name_H-M 'F -4 3 m'
_symmetry_Int_Tables_number 216
_symmetry_space_group_name_Hall 'F -4 2 3'
_cell_length_a 8.1559
_cell_length_b 8.1559
_cell_length_c 8.1559
_cell_angle_alpha 90.00
_cell_angle_beta 90.00
_cell_angle_gamma 90.00
loop_
_atom_site_label
_atom_site_type_symbol
_atom_site_fract_x
_atom_site_fract_y
_atom_site_fract_z
Na1 Na 0.0000 0.0000 0.0000
Eu1 Eu 0.0000 0.0000 0.5000
Zr1 Zr 0.2500 0.2500 0.7500
Sb1 Sb 0.2500 0.2500 0.2500
O1 O 0.0062 0.2500 0.2500
```